[1]
The following is a simulated PXRD pattern of Ba4Ge20Pd3. It was derived from a GGA-PBE-relaxed structure, using Cu Kα.
Intensities are scaled so that the largest is 100.

Top 10 peaks for 2θ = 5–70°, in order of falling intensity:
d_spacing  2theta  I (rel.)
2.905  30.77  100
1.764  51.84  43
1.864  48.85  34
3.138  28.44  31
3.015  29.63  26
1.812  50.36  22
2.718  32.96  14
2.637  34.00  12
1.838  49.61  10
1.381  67.89  9

Structure:
```
Ba4Ge20Pd3
1.0
10.8712 0.0000 0.0000
0.0000 10.8712 0.0000
0.0000 0.0000 10.8712
Ba Ge Pd
8 40 6
direct
0.0000 0.0000 0.0000
0.0000 0.2500 0.5000
0.0000 0.7500 0.5000
0.2500 0.5000 0.0000
0.5000 0.0000 0.2500
0.5000 0.0000 0.7500
0.5000 0.5000 0.5000
0.7500 0.5000 0.0000
0.0000 0.3143 0.1190
0.0000 0.3143 0.8810
0.0000 0.6857 0.1190
0.0000 0.6857 0.8810
0.1190 0.0000 0.3143
0.1190 0.0000 0.6857
0.1829 0.1829 0.1829
0.1829 0.1829 0.8171
0.1829 0.8171 0.1829
0.1829 0.8171 0.8171
0.1857 0.5000 0.3810
0.1857 0.5000 0.6190
0.3143 0.1190 0.0000
0.3143 0.8810 0.0000
0.3171 0.3171 0.3171
0.3171 0.3171 0.6829
0.3171 0.6829 0.3171
0.3171 0.6829 0.6829
0.3810 0.1857 0.5000
0.3810 0.8143 0.5000
0.5000 0.3810 0.1857
0.5000 0.3810 0.8143
0.5000 0.6190 0.1857
0.5000 0.6190 0.8143
0.6190 0.1857 0.5000
0.6190 0.8143 0.5000
0.6829 0.3171 0.3171
0.6829 0.3171 0.6829
0.6829 0.6829 0.3171
0.6829 0.6829 0.6829
0.6857 0.1190 0.0000
0.6857 0.8810 0.0000
0.8143 0.5000 0.3810
0.8143 0.5000 0.6190
0.8171 0.1829 0.1829
0.8171 0.1829 0.8171
0.8171 0.8171 0.1829
0.8171 0.8171 0.8171
0.8810 0.0000 0.3143
0.8810 0.0000 0.6857
0.0000 0.5000 0.2500
0.0000 0.5000 0.7500
0.2500 0.0000 0.5000
0.5000 0.2500 0.0000
0.5000 0.7500 0.0000
0.7500 0.0000 0.5000
```



[2]
The following is a simulated PXRD pattern of Ba2PrGe4Pd4. It was derived from a GGA-PBE-relaxed structure, using Cu Kα.
Intensities are scaled so that the largest is 100.

Top 10 peaks for 2θ = 5–70°, in order of falling intensity:
d_spacing  2theta  I (rel.)
2.818  31.75  100
2.852  31.37  52
2.213  40.77  29
2.203  40.96  28
2.096  43.17  22
1.748  52.33  21
1.561  59.17  19
2.431  36.98  18
1.368  68.61  15
1.519  61.02  15

Structure:
```
Ba2PrGe4Pd4
1.0
-2.2032 2.2134 13.0866
2.2032 -2.2134 13.0866
2.2032 2.2134 -13.0866
Ba Pr Ge Pd
2 1 4 4
direct
0.1454 0.1454 0.0000
0.8546 0.8546 0.0000
0.5000 0.0000 0.5000
0.0470 0.5470 0.5000
0.2994 0.2994 0.0000
0.7006 0.7006 0.0000
0.9530 0.4530 0.5000
0.2506 0.7506 0.5000
0.4047 0.4047 0.0000
0.5953 0.5953 0.0000
0.7494 0.2494 0.5000
```